# SrSmCN2Cl2
Simulated XRD peak list, λ = 1.5418 Å (Cu Kα). Input: the PBE geometry in OQMD.

Most intense lines, 10 to 90 degrees two-theta, in order of rising 2θ:
2θ/deg, I (rel.)
12.33, 26.7
18.57, 53.3
20.37, 30.3
24.37, 41.5
24.81, 58.6
26.60, 100.0
28.19, 27.3
33.82, 93.5
36.23, 72.8
41.21, 30.4
43.77, 30.1
47.43, 29.0

Structural model:
```
data_SrSmCN2Cl2
_space_group_name_H-M_alt 'P 1'
_space_group_IT_number 1
_cell_length_a 5.2450
_cell_length_b 5.2450
_cell_length_c 7.2992
_cell_angle_alpha 99.72
_cell_angle_beta 99.72
_cell_angle_gamma 44.28
loop_
_space_group_symop_operation_xyz
'x,y,z'
loop_
_atom_site_label
_atom_site_type_symbol
_atom_site_fract_x
_atom_site_fract_y
_atom_site_fract_z
_atom_site_occupancy
Sr1 Sr 0.0000 0.0000 0.0000 1
Sm1 Sm 0.3650 0.3650 0.5263 1
C1 C 0.6800 0.6800 0.7571 1
N1 N 0.5625 0.5625 0.8008 1
N2 N 0.7962 0.7962 0.7094 1
Cl1 Cl 0.0575 0.0575 0.4243 1
Cl2 Cl 0.3113 0.3113 0.1218 1
```

***

# PrNdCCl
Simulated XRD peak list, λ = 1.5418 Å (Cu Kα). Input: the PBE geometry in OQMD.

Most intense lines, 10 to 90 degrees two-theta, in order of rising 2θ:
2θ/deg, I (rel.)
12.25, 13.7
24.64, 12.7
27.17, 25.3
27.88, 24.7
33.02, 100.0
37.34, 12.6
46.78, 12.0
48.01, 25.5
52.36, 13.2
59.51, 17.9
62.35, 16.7
79.84, 15.3

Structural model:
```
data_PrNdCCl
_space_group_name_H-M_alt 'P 1'
_space_group_IT_number 1
_cell_length_a 3.7899
_cell_length_b 3.7899
_cell_length_c 14.4510
_cell_angle_alpha 90.00
_cell_angle_beta 90.00
_cell_angle_gamma 120.00
loop_
_space_group_symop_operation_xyz
'x,y,z'
loop_
_atom_site_label
_atom_site_type_symbol
_atom_site_fract_x
_atom_site_fract_y
_atom_site_fract_z
_atom_site_occupancy
Pr1 Pr 0.0000 0.0000 0.1546 1
Pr2 Pr 0.0000 0.0000 0.8454 1
Nd1 Nd 0.6667 0.3333 0.3465 1
Nd2 Nd 0.6667 0.3333 0.6535 1
C1 C 0.3333 0.6667 0.2524 1
C2 C 0.3333 0.6667 0.7476 1
Cl1 Cl 0.0000 0.0000 0.5000 1
Cl2 Cl 0.6667 0.3333 0.0000 1
```

***

# Nd2Sm2C2Cl5
Simulated XRD peak list, λ = 1.5418 Å (Cu Kα). Input: the PBE geometry in OQMD.

Most intense lines, 10 to 90 degrees two-theta, in order of rising 2θ:
2θ/deg, I (rel.)
10.18, 20.3
12.45, 54.5
19.09, 26.5
25.05, 26.0
27.97, 66.3
30.85, 66.6
33.25, 100.0
37.97, 35.7
42.10, 58.1
49.65, 30.5
57.80, 22.0
62.44, 16.7

Structural model:
```
data_Nd2Sm2C2Cl5
_space_group_name_H-M_alt 'P 1'
_space_group_IT_number 1
_cell_length_a 9.7069
_cell_length_b 9.7069
_cell_length_c 7.7912
_cell_angle_alpha 113.53
_cell_angle_beta 113.53
_cell_angle_gamma 22.70
loop_
_space_group_symop_operation_xyz
'x,y,z'
loop_
_atom_site_label
_atom_site_type_symbol
_atom_site_fract_x
_atom_site_fract_y
_atom_site_fract_z
_atom_site_occupancy
Nd1 Nd 0.1702 0.1702 0.1695 1
Nd2 Nd 0.8298 0.8298 0.8305 1
Sm1 Sm 0.5000 0.5000 0.2100 1
Sm2 Sm 0.5000 0.5000 0.7900 1
C1 C 0.0408 0.0408 0.0406 1
C2 C 0.9592 0.9592 0.9594 1
Cl1 Cl 0.0000 0.0000 0.5000 1
Cl2 Cl 0.3349 0.3349 0.1106 1
Cl3 Cl 0.3350 0.3350 0.5609 1
Cl4 Cl 0.6650 0.6650 0.4391 1
Cl5 Cl 0.6651 0.6651 0.8894 1
```

***

# Nd2Y2CCl5
Simulated XRD peak list, λ = 1.5418 Å (Cu Kα). Input: the PBE geometry in OQMD.

Most intense lines, 10 to 90 degrees two-theta, in order of rising 2θ:
2θ/deg, I (rel.)
10.52, 76.2
11.19, 70.5
23.80, 20.6
27.09, 20.7
28.19, 23.3
31.80, 17.5
31.92, 44.5
32.08, 100.0
34.61, 23.8
35.50, 26.2
45.89, 55.2
58.30, 18.4

Structural model:
```
data_Nd2Y2CCl5
_space_group_name_H-M_alt 'P 1'
_space_group_IT_number 1
_cell_length_a 8.8590
_cell_length_b 8.8590
_cell_length_c 8.1327
_cell_angle_alpha 103.13
_cell_angle_beta 103.13
_cell_angle_gamma 25.00
loop_
_space_group_symop_operation_xyz
'x,y,z'
loop_
_atom_site_label
_atom_site_type_symbol
_atom_site_fract_x
_atom_site_fract_y
_atom_site_fract_z
_atom_site_occupancy
Nd1 Nd 0.0016 0.0016 0.2862 1
Nd2 Nd 0.9984 0.9984 0.7138 1
Y1 Y 0.3569 0.3569 0.4216 1
Y2 Y 0.6431 0.6431 0.5784 1
C1 C 0.5000 0.5000 0.5000 1
Cl1 Cl 0.1683 0.1683 0.8226 1
Cl2 Cl 0.1750 0.1750 0.3560 1
Cl3 Cl 0.5000 0.5000 0.0000 1
Cl4 Cl 0.8250 0.8250 0.6440 1
Cl5 Cl 0.8317 0.8317 0.1774 1
```

***

# OsC4Cl2O4
Simulated XRD peak list, λ = 1.5418 Å (Cu Kα). Input: the PBE geometry in OQMD.

Most intense lines, 10 to 90 degrees two-theta, in order of rising 2θ:
2θ/deg, I (rel.)
15.42, 59.6
16.13, 100.0
17.51, 22.3
19.15, 30.6
21.30, 49.0
23.42, 70.5
29.23, 20.8
30.40, 23.1
32.79, 18.2
32.97, 32.8
37.11, 41.4
51.27, 18.2

Structural model:
```
data_OsC4Cl2O4
_space_group_name_H-M_alt 'P 1'
_space_group_IT_number 1
_cell_length_a 6.0404
_cell_length_b 6.0404
_cell_length_c 11.5629
_cell_angle_alpha 93.47
_cell_angle_beta 93.47
_cell_angle_gamma 113.95
loop_
_space_group_symop_operation_xyz
'x,y,z'
loop_
_atom_site_label
_atom_site_type_symbol
_atom_site_fract_x
_atom_site_fract_y
_atom_site_fract_z
_atom_site_occupancy
Os1 Os 0.0675 0.9325 0.7500 1
Os2 Os 0.9325 0.0675 0.2500 1
C1 C 0.1056 0.7068 0.8492 1
C2 C 0.2068 0.3338 0.3435 1
C3 C 0.2932 0.8944 0.6508 1
C4 C 0.3338 0.2068 0.8435 1
C5 C 0.6662 0.7932 0.1565 1
C6 C 0.7068 0.1056 0.3492 1
C7 C 0.7932 0.6662 0.6565 1
C8 C 0.8944 0.2932 0.1508 1
Cl1 Cl 0.0282 0.2359 0.6312 1
Cl2 Cl 0.2359 0.0282 0.1312 1
Cl3 Cl 0.7641 0.9718 0.8688 1
Cl4 Cl 0.9718 0.7641 0.3688 1
O1 O 0.1355 0.5732 0.9086 1
O2 O 0.3654 0.4961 0.3930 1
O3 O 0.4268 0.8645 0.5914 1
O4 O 0.4961 0.3654 0.8930 1
O5 O 0.5039 0.6346 0.1070 1
O6 O 0.5732 0.1355 0.4086 1
O7 O 0.6346 0.5039 0.6070 1
O8 O 0.8645 0.4268 0.0914 1
```

***

# OsC4Cl2O4
Simulated XRD peak list, λ = 1.5418 Å (Cu Kα). Input: the PBE geometry in OQMD.

Most intense lines, 10 to 90 degrees two-theta, in order of rising 2θ:
2θ/deg, I (rel.)
15.33, 45.1
17.28, 100.0
21.95, 38.3
26.88, 41.2
27.90, 23.6
32.06, 15.1
34.98, 19.9
35.91, 40.8
38.26, 14.7
42.37, 27.9
44.76, 12.8
53.38, 15.5

Structural model:
```
data_OsC4Cl2O4
_space_group_name_H-M_alt 'P 1'
_space_group_IT_number 1
_cell_length_a 5.7269
_cell_length_b 5.7269
_cell_length_c 11.5615
_cell_angle_alpha 90.00
_cell_angle_beta 90.00
_cell_angle_gamma 90.00
loop_
_space_group_symop_operation_xyz
'x,y,z'
loop_
_atom_site_label
_atom_site_type_symbol
_atom_site_fract_x
_atom_site_fract_y
_atom_site_fract_z
_atom_site_occupancy
Os1 Os 0.0000 0.0000 0.0000 1
Os2 Os 0.5000 0.5000 0.5000 1
C1 C 0.1695 0.1695 0.1216 1
C2 C 0.1695 0.1695 0.8784 1
C3 C 0.3305 0.6695 0.3784 1
C4 C 0.3305 0.6695 0.6216 1
C5 C 0.6695 0.3305 0.3784 1
C6 C 0.6695 0.3305 0.6216 1
C7 C 0.8305 0.8305 0.1216 1
C8 C 0.8305 0.8305 0.8784 1
Cl1 Cl 0.2005 0.2005 0.5000 1
Cl2 Cl 0.2995 0.7005 0.0000 1
Cl3 Cl 0.7005 0.2995 0.0000 1
Cl4 Cl 0.7995 0.7995 0.5000 1
O1 O 0.2366 0.7634 0.3041 1
O2 O 0.2366 0.7634 0.6959 1
O3 O 0.2634 0.2634 0.1959 1
O4 O 0.2634 0.2634 0.8041 1
O5 O 0.7366 0.7366 0.1959 1
O6 O 0.7366 0.7366 0.8041 1
O7 O 0.7634 0.2366 0.3041 1
O8 O 0.7634 0.2366 0.6959 1
```

***

# PtC2Cl2O2
Simulated XRD peak list, λ = 1.5418 Å (Cu Kα). Input: the PBE geometry in OQMD.

Most intense lines, 10 to 90 degrees two-theta, in order of rising 2θ:
2θ/deg, I (rel.)
12.73, 74.3
13.81, 100.0
14.49, 81.0
18.83, 66.6
24.45, 25.4
27.97, 38.2
28.51, 56.2
31.32, 28.0
33.22, 38.7
36.66, 19.1
39.24, 22.7
44.33, 23.6

Structural model:
```
data_PtC2Cl2O2
_space_group_name_H-M_alt 'P 1'
_space_group_IT_number 1
_cell_length_a 7.1908
_cell_length_b 12.8232
_cell_length_c 6.5982
_cell_angle_alpha 90.00
_cell_angle_beta 104.81
_cell_angle_gamma 90.00
loop_
_space_group_symop_operation_xyz
'x,y,z'
loop_
_atom_site_label
_atom_site_type_symbol
_atom_site_fract_x
_atom_site_fract_y
_atom_site_fract_z
_atom_site_occupancy
Pt1 Pt 0.1091 0.2302 0.2198 1
Pt2 Pt 0.1091 0.2698 0.7198 1
Pt3 Pt 0.8909 0.7302 0.2802 1
Pt4 Pt 0.8909 0.7698 0.7802 1
C1 C 0.1074 0.6402 0.3374 1
C2 C 0.1074 0.8598 0.8374 1
C3 C 0.2964 0.1231 0.2719 1
C4 C 0.2964 0.3769 0.7719 1
C5 C 0.7036 0.6231 0.2281 1
C6 C 0.7036 0.8769 0.7281 1
C7 C 0.8926 0.1402 0.1626 1
C8 C 0.8926 0.3598 0.6626 1
Cl1 Cl 0.1065 0.6319 0.8399 1
Cl2 Cl 0.1065 0.8681 0.3399 1
Cl3 Cl 0.3657 0.1556 0.7859 1
Cl4 Cl 0.3657 0.3444 0.2859 1
Cl5 Cl 0.6343 0.6556 0.7141 1
Cl6 Cl 0.6343 0.8444 0.2141 1
Cl7 Cl 0.8935 0.1319 0.6601 1
Cl8 Cl 0.8935 0.3681 0.1601 1
O1 O 0.2394 0.5868 0.3752 1
O2 O 0.2394 0.9132 0.8752 1
O3 O 0.4115 0.0592 0.3025 1
O4 O 0.4115 0.4408 0.8025 1
O5 O 0.5885 0.5592 0.1975 1
O6 O 0.5885 0.9408 0.6975 1
O7 O 0.7606 0.0868 0.1248 1
O8 O 0.7606 0.4132 0.6248 1
```

***

# Pr8C8Cl5
Simulated XRD peak list, λ = 1.5418 Å (Cu Kα). Input: the PBE geometry in OQMD.

Most intense lines, 10 to 90 degrees two-theta, in order of rising 2θ:
2θ/deg, I (rel.)
11.86, 34.7
24.88, 55.1
25.43, 15.7
26.15, 17.4
26.55, 40.0
29.06, 100.0
30.65, 23.1
31.99, 47.3
32.32, 27.0
42.64, 23.5
45.10, 24.8
46.17, 22.3

Structural model:
```
data_Pr8C8Cl5
_space_group_name_H-M_alt 'P 1'
_space_group_IT_number 1
_cell_length_a 7.6942
_cell_length_b 16.9750
_cell_length_c 6.8609
_cell_angle_alpha 90.00
_cell_angle_beta 104.05
_cell_angle_gamma 90.00
loop_
_space_group_symop_operation_xyz
'x,y,z'
loop_
_atom_site_label
_atom_site_type_symbol
_atom_site_fract_x
_atom_site_fract_y
_atom_site_fract_z
_atom_site_occupancy
Pr1 Pr 0.0719 0.1957 0.1276 1
Pr2 Pr 0.0719 0.3043 0.6276 1
Pr3 Pr 0.1503 0.0703 0.6249 1
Pr4 Pr 0.1503 0.4297 0.1249 1
Pr5 Pr 0.2252 0.5493 0.6165 1
Pr6 Pr 0.2252 0.9507 0.1165 1
Pr7 Pr 0.3027 0.6729 0.1025 1
Pr8 Pr 0.3027 0.8271 0.6025 1
Pr9 Pr 0.6973 0.1729 0.3975 1
Pr10 Pr 0.6973 0.3271 0.8975 1
Pr11 Pr 0.7748 0.0493 0.8835 1
Pr12 Pr 0.7748 0.4507 0.3835 1
Pr13 Pr 0.8497 0.5703 0.8751 1
Pr14 Pr 0.8497 0.9297 0.3751 1
Pr15 Pr 0.9281 0.6957 0.3724 1
Pr16 Pr 0.9281 0.8043 0.8724 1
C1 C 0.0211 0.0391 0.2232 1
C2 C 0.0211 0.4609 0.7232 1
C3 C 0.0498 0.6604 0.7643 1
C4 C 0.0498 0.8396 0.2643 1
C5 C 0.1002 0.5854 0.2193 1
C6 C 0.1002 0.9146 0.7193 1
C7 C 0.1595 0.7154 0.7151 1
C8 C 0.1595 0.7846 0.2151 1
C9 C 0.8405 0.2154 0.7849 1
C10 C 0.8405 0.2846 0.2849 1
C11 C 0.8998 0.0854 0.2807 1
C12 C 0.8998 0.4146 0.7807 1
C13 C 0.9502 0.1604 0.7357 1
C14 C 0.9502 0.3396 0.2357 1
C15 C 0.9789 0.5391 0.2768 1
C16 C 0.9789 0.9609 0.7768 1
Cl1 Cl 0.3476 0.2033 0.5158 1
Cl2 Cl 0.3476 0.2967 0.0158 1
Cl3 Cl 0.4128 0.0964 0.0199 1
Cl4 Cl 0.4128 0.4036 0.5199 1
Cl5 Cl 0.5000 0.0000 0.5000 1
Cl6 Cl 0.5000 0.5000 0.0000 1
Cl7 Cl 0.5872 0.5964 0.4801 1
Cl8 Cl 0.5872 0.9036 0.9801 1
Cl9 Cl 0.6524 0.7033 0.9842 1
Cl10 Cl 0.6524 0.7967 0.4842 1
```

***

# Pr2Sm2C2Cl5
Simulated XRD peak list, λ = 1.5418 Å (Cu Kα). Input: the PBE geometry in OQMD.

Most intense lines, 10 to 90 degrees two-theta, in order of rising 2θ:
2θ/deg, I (rel.)
11.46, 89.6
16.74, 21.8
26.35, 16.2
27.20, 57.5
28.15, 24.9
29.34, 67.3
31.01, 24.0
32.19, 100.0
43.57, 36.1
44.64, 38.0
46.72, 19.3
56.11, 27.0

Structural model:
```
data_Pr2Sm2C2Cl5
_space_group_name_H-M_alt 'P 1'
_space_group_IT_number 1
_cell_length_a 9.6148
_cell_length_b 9.6148
_cell_length_c 7.9614
_cell_angle_alpha 103.80
_cell_angle_beta 103.80
_cell_angle_gamma 23.33
loop_
_space_group_symop_operation_xyz
'x,y,z'
loop_
_atom_site_label
_atom_site_type_symbol
_atom_site_fract_x
_atom_site_fract_y
_atom_site_fract_z
_atom_site_occupancy
Pr1 Pr 0.9996 0.9996 0.2112 1
Pr2 Pr 0.0004 0.0004 0.7888 1
Sm1 Sm 0.3405 0.3405 0.8969 1
Sm2 Sm 0.6595 0.6595 0.1031 1
C1 C 0.4616 0.4616 0.9765 1
C2 C 0.5384 0.5384 0.0235 1
Cl1 Cl 0.1616 0.1616 0.3535 1
Cl2 Cl 0.1714 0.1714 0.8493 1
Cl3 Cl 0.5000 0.5000 0.5000 1
Cl4 Cl 0.8286 0.8286 0.1507 1
Cl5 Cl 0.8384 0.8384 0.6465 1
```

***

# Pr2Tm2CCl5
Simulated XRD peak list, λ = 1.5418 Å (Cu Kα). Input: the PBE geometry in OQMD.

Most intense lines, 10 to 90 degrees two-theta, in order of rising 2θ:
2θ/deg, I (rel.)
10.55, 26.4
11.00, 97.7
21.71, 16.9
26.56, 13.0
28.30, 24.8
31.70, 20.6
31.98, 100.0
35.61, 24.7
40.50, 16.8
43.99, 13.9
45.45, 16.5
46.31, 16.8

Structural model:
```
data_Pr2Tm2CCl5
_space_group_name_H-M_alt 'P 1'
_space_group_IT_number 1
_cell_length_a 8.7913
_cell_length_b 8.7913
_cell_length_c 8.2356
_cell_angle_alpha 102.07
_cell_angle_beta 102.07
_cell_angle_gamma 25.10
loop_
_space_group_symop_operation_xyz
'x,y,z'
loop_
_atom_site_label
_atom_site_type_symbol
_atom_site_fract_x
_atom_site_fract_y
_atom_site_fract_z
_atom_site_occupancy
Pr1 Pr 0.0023 0.0023 0.2856 1
Pr2 Pr 0.9977 0.9977 0.7144 1
Tm1 Tm 0.3592 0.3592 0.4288 1
Tm2 Tm 0.6408 0.6408 0.5712 1
C1 C 0.5000 0.5000 0.5000 1
Cl1 Cl 0.1698 0.1698 0.8041 1
Cl2 Cl 0.1774 0.1774 0.3625 1
Cl3 Cl 0.5000 0.5000 0.0000 1
Cl4 Cl 0.8226 0.8226 0.6375 1
Cl5 Cl 0.8302 0.8302 0.1959 1
```

***

# Tm2Sc2CCl5
Simulated XRD peak list, λ = 1.5418 Å (Cu Kα). Input: the PBE geometry in OQMD.

Most intense lines, 10 to 90 degrees two-theta, in order of rising 2θ:
2θ/deg, I (rel.)
10.99, 100.0
11.91, 24.4
22.09, 12.4
23.94, 27.3
25.43, 31.9
29.96, 11.2
33.40, 28.3
34.29, 53.2
36.11, 18.4
37.54, 19.8
48.57, 16.0
48.68, 15.5

Structural model:
```
data_Tm2Sc2CCl5
_space_group_name_H-M_alt 'P 1'
_space_group_IT_number 1
_cell_length_a 8.4690
_cell_length_b 8.4690
_cell_length_c 7.6394
_cell_angle_alpha 103.20
_cell_angle_beta 103.20
_cell_angle_gamma 24.46
loop_
_space_group_symop_operation_xyz
'x,y,z'
loop_
_atom_site_label
_atom_site_type_symbol
_atom_site_fract_x
_atom_site_fract_y
_atom_site_fract_z
_atom_site_occupancy
Tm1 Tm 0.0013 0.0013 0.2908 1
Tm2 Tm 0.9987 0.9987 0.7092 1
Sc1 Sc 0.3615 0.3615 0.4228 1
Sc2 Sc 0.6385 0.6385 0.5772 1
C1 C 0.5000 0.5000 0.5000 1
Cl1 Cl 0.1645 0.1645 0.8267 1
Cl2 Cl 0.1704 0.1704 0.3530 1
Cl3 Cl 0.5000 0.5000 0.0000 1
Cl4 Cl 0.8296 0.8296 0.6470 1
Cl5 Cl 0.8355 0.8355 0.1733 1
```